(1)
# Li9Co7O16
Computed powder diffraction line list, Cu Kα. Input: a crystal structure in the Materials Project, relaxed with GGA+U.

Structure:
```
data_Li9Co7O16
_space_group_name_H-M_alt 'P 1'
_space_group_IT_number 1
_cell_length_a 19.4284
_cell_length_b 19.4284
_cell_length_c 4.9725
_cell_angle_alpha 94.74
_cell_angle_beta 94.74
_cell_angle_gamma 8.84
loop_
_space_group_symop_operation_xyz
'x,y,z'
loop_
_atom_site_label
_atom_site_type_symbol
_atom_site_fract_x
_atom_site_fract_y
_atom_site_fract_z
_atom_site_occupancy
Li1 Li 0.0000 0.0000 0.0000 1
Li2 Li 0.0605 0.0605 0.6882 1
Li3 Li 0.1874 0.1874 0.0612 1
Li4 Li 0.3126 0.3126 0.4386 1
Li5 Li 0.4392 0.4392 0.8198 1
Li6 Li 0.5608 0.5608 0.1802 1
Li7 Li 0.6874 0.6874 0.5614 1
Li8 Li 0.8126 0.8126 0.9388 1
Li9 Li 0.9395 0.9395 0.3118 1
Co1 Co 0.1246 0.1246 0.3744 1
Co2 Co 0.2500 0.2500 0.7500 1
Co3 Co 0.3756 0.3756 0.1263 1
Co4 Co 0.5000 0.5000 0.5000 1
Co5 Co 0.6244 0.6244 0.8737 1
Co6 Co 0.7500 0.7500 0.2500 1
Co7 Co 0.8754 0.8754 0.6256 1
O1 O 0.0266 0.0266 0.3632 1
O2 O 0.0950 0.0950 0.0404 1
O3 O 0.1536 0.1536 0.7094 1
O4 O 0.2211 0.2211 0.4148 1
O5 O 0.2789 0.2789 0.0853 1
O6 O 0.3465 0.3465 0.7920 1
O7 O 0.4042 0.4042 0.4618 1
O8 O 0.4723 0.4723 0.1955 1
O9 O 0.5277 0.5277 0.8045 1
O10 O 0.5958 0.5958 0.5382 1
O11 O 0.6535 0.6535 0.2080 1
O12 O 0.7211 0.7211 0.9147 1
O13 O 0.7789 0.7789 0.5852 1
O14 O 0.8464 0.8464 0.2906 1
O15 O 0.9050 0.9050 0.9596 1
O16 O 0.9734 0.9734 0.6368 1
```

The 10 most intense peaks (2θ from 15° to 90°), by angle:
d_spacing  Position (°2θ)  Rel. int.
4.826  18.38  100
2.534  35.42  31
2.432  36.96  11
2.113  42.79  60
2.011  45.09  25
1.900  47.87  9
1.626  56.59  10
1.497  62.00  8
1.464  63.53  15
1.449  64.28  15



(2)
# KHo2CuMo4O16
Computed powder diffraction line list, Cu Kα. Input: a crystal structure in the Materials Project, relaxed with GGA+U.

Structure:
```
data_KHo2CuMo4O16
_space_group_name_H-M_alt 'P 1'
_space_group_IT_number 1
_cell_length_a 6.8691
_cell_length_b 6.8691
_cell_length_c 19.7421
_cell_angle_alpha 91.28
_cell_angle_beta 91.28
_cell_angle_gamma 134.78
loop_
_space_group_symop_operation_xyz
'x,y,z'
loop_
_atom_site_label
_atom_site_type_symbol
_atom_site_fract_x
_atom_site_fract_y
_atom_site_fract_z
_atom_site_occupancy
K1 K 0.0292 0.9708 0.7500 1
K2 K 0.9708 0.0292 0.2500 1
Ho1 Ho 0.1453 0.8505 0.5315 1
Ho2 Ho 0.1495 0.8547 0.9685 1
Ho3 Ho 0.8505 0.1453 0.0315 1
Ho4 Ho 0.8547 0.1495 0.4685 1
Cu1 Cu 0.3096 0.6904 0.7500 1
Cu2 Cu 0.6904 0.3096 0.2500 1
Mo1 Mo 0.2493 0.7321 0.3542 1
Mo2 Mo 0.2679 0.7507 0.1458 1
Mo3 Mo 0.4222 0.5457 0.9093 1
Mo4 Mo 0.4543 0.5778 0.5907 1
Mo5 Mo 0.5457 0.4222 0.4093 1
Mo6 Mo 0.5778 0.4543 0.0907 1
Mo7 Mo 0.7321 0.2493 0.8542 1
Mo8 Mo 0.7507 0.2679 0.6458 1
O1 O 0.0132 0.7355 0.1719 1
O2 O 0.0574 0.5805 0.4339 1
O3 O 0.0670 0.4712 0.2870 1
O4 O 0.0939 0.3967 0.1294 1
O5 O 0.1660 0.5040 0.9585 1
O6 O 0.2158 0.2551 0.5368 1
O7 O 0.2251 0.3226 0.4003 1
O8 O 0.2551 0.2158 0.0368 1
O9 O 0.2645 0.9868 0.3281 1
O10 O 0.3044 0.4869 0.6711 1
O11 O 0.3226 0.2251 0.9003 1
O12 O 0.3967 0.0939 0.6294 1
O13 O 0.4195 0.9426 0.0661 1
O14 O 0.4712 0.0670 0.7870 1
O15 O 0.4869 0.3044 0.1711 1
O16 O 0.4960 0.8340 0.5415 1
O17 O 0.5040 0.1660 0.4585 1
O18 O 0.5131 0.6956 0.8289 1
O19 O 0.5288 0.9330 0.2130 1
O20 O 0.5805 0.0574 0.9339 1
O21 O 0.6033 0.9061 0.3706 1
O22 O 0.6774 0.7749 0.0997 1
O23 O 0.6956 0.5131 0.3289 1
O24 O 0.7355 0.0132 0.6719 1
O25 O 0.7449 0.7842 0.9632 1
O26 O 0.7749 0.6774 0.5997 1
O27 O 0.7842 0.7449 0.4632 1
O28 O 0.8340 0.4960 0.0415 1
O29 O 0.9061 0.6033 0.8706 1
O30 O 0.9330 0.5288 0.7130 1
O31 O 0.9426 0.4195 0.5661 1
O32 O 0.9868 0.2645 0.8281 1
```

The 10 most intense peaks (2θ from 15° to 90°), by angle:
d_spacing  Position (°2θ)  Rel. int.
3.560  25.01  32
3.374  26.42  34
3.234  27.58  32
3.163  28.22  52
3.148  28.35  88
3.094  28.86  47
2.988  29.90  100
2.855  31.33  29
2.637  34.00  43
1.795  50.85  31



(3)
# Li2Ni3SnO8
Computed powder diffraction line list, Cu Kα. Input: a crystal structure in the Materials Project, relaxed with GGA+U.

Structure:
```
data_Li2Ni3SnO8
_space_group_name_H-M_alt 'P 1'
_space_group_IT_number 1
_cell_length_a 5.7479
_cell_length_b 5.9150
_cell_length_c 5.9336
_cell_angle_alpha 118.08
_cell_angle_beta 90.10
_cell_angle_gamma 119.04
loop_
_space_group_symop_operation_xyz
'x,y,z'
loop_
_atom_site_label
_atom_site_type_symbol
_atom_site_fract_x
_atom_site_fract_y
_atom_site_fract_z
_atom_site_occupancy
Li1 Li 0.1273 0.2540 0.3555 1
Li2 Li 0.8727 0.7460 0.6445 1
Ni1 Ni 0.0000 0.5000 0.0000 1
Ni2 Ni 0.5000 0.0000 0.0000 1
Ni3 Ni 0.5000 0.5000 0.0000 1
Sn1 Sn 0.5000 0.0000 0.5000 1
O1 O 0.2602 0.5188 0.2211 1
O2 O 0.2657 0.9897 0.2263 1
O3 O 0.2756 0.0095 0.7729 1
O4 O 0.2798 0.5589 0.8088 1
O5 O 0.7202 0.4411 0.1912 1
O6 O 0.7244 0.9905 0.2271 1
O7 O 0.7343 0.0103 0.7737 1
O8 O 0.7398 0.4812 0.7789 1
```

The 10 most intense peaks (2θ from 15° to 90°), by angle:
d_spacing  Position (°2θ)  Rel. int.
4.997  17.75  11
4.801  18.48  100
2.591  34.61  12
2.547  35.23  13
2.496  35.98  25
2.402  37.44  11
2.177  41.47  20
2.063  43.88  34
1.519  60.98  12
1.477  62.92  14